Diffraction record for MgCo6O2F10. The XRD peak list is theoretical, not measured: it uses a crystal structure in Alexandria, relaxed with PBE+U and CuKα.

Top 10 peaks for 2θ from 15° to 90°, low angle first:
| d_spacing | Rel. int. | h k l |
| --- | --- | --- |
| 3.564 | 100 | 1 -1 0 |
| 3.458 | 93 | 1 1 0 |
| 2.668 | 35 | 0 1 -3 |
| 2.631 | 29 | 1 0 -3 |
| 2.595 | 23 | 1 0 3 |
| 2.583 | 29 | 0 1 3 |
| 1.844 | 31 | 1 -2 3 |
| 1.808 | 27 | -2 1 3 |
| 1.800 | 25 | -1 2 3 |
| 1.782 | 22 | 2 -2 0 |

Atomic structure:
Lattice parameters (Å, degrees): 4.9278 5.0088 9.2540 92.05 90.84 91.69
Space group P-1 (No. 2)
Unique sites:
Mg  0.0000  0.0000  0.0000 (multiplicity 1)
Co  0.0000  0.5000  0.0000 (multiplicity 1)
Co  0.0175  0.5097  0.6720 (multiplicity 2)
Co  0.4680  0.9537  0.8204 (multiplicity 2)
Co  0.5000  0.0000  0.5000 (multiplicity 1)
O  0.1404  0.7250  0.8485 (multiplicity 2)
F  0.1690  0.7751  0.1573 (multiplicity 2)
F  0.1763  0.7097  0.4941 (multiplicity 2)
F  0.3186  0.2075  0.6683 (multiplicity 2)
F  0.3303  0.2285  0.3420 (multiplicity 2)
F  0.3375  0.2136  0.9945 (multiplicity 2)